Record 1
V3H8N2O8: calculated X-ray powder pattern (Cu Kα, 1.54184 Å), based on a PBE+U-relaxed structure.

Structure:
abc: 9.030 9.030 5.746
angles: 90.00 90.00 90.00
Positions (direct):
1 V 0.000 0.000 0.000
2 V 0.133 0.367 0.001
3 V 0.367 0.867 0.001
4 V 0.500 0.500 0.000
5 V 0.633 0.133 0.001
6 V 0.867 0.633 0.001
7 H 0.112 0.612 0.438
8 H 0.114 0.745 0.645
9 H 0.245 0.614 0.645
10 H 0.247 0.747 0.437
11 H 0.253 0.247 0.437
12 H 0.255 0.114 0.645
13 H 0.386 0.245 0.645
14 H 0.388 0.112 0.438
15 H 0.612 0.888 0.438
16 H 0.614 0.755 0.645
17 H 0.745 0.886 0.645
18 H 0.747 0.753 0.437
19 H 0.753 0.253 0.437
20 H 0.755 0.386 0.645
21 H 0.886 0.255 0.645
22 H 0.888 0.388 0.438
23 N 0.178 0.678 0.539
24 N 0.322 0.178 0.539
25 N 0.678 0.822 0.539
26 N 0.822 0.322 0.539
27 O 0.000 0.000 0.285
28 O 0.000 0.500 0.892
29 O 0.083 0.193 0.893
30 O 0.132 0.368 0.293
31 O 0.193 0.917 0.893
32 O 0.307 0.417 0.893
33 O 0.368 0.868 0.293
34 O 0.417 0.693 0.893
35 O 0.500 0.000 0.892
36 O 0.500 0.500 0.285
37 O 0.583 0.307 0.893
38 O 0.632 0.132 0.293
39 O 0.693 0.583 0.893
40 O 0.807 0.083 0.893
41 O 0.868 0.632 0.293
42 O 0.917 0.807 0.893

The 10 most intense peaks (2θ from 10° to 90°), by angle:
2θ = 15.42°, intensity 100
2θ = 22.01°, intensity 50
2θ = 25.08°, intensity 20
2θ = 26.99°, intensity 83
2θ = 31.13°, intensity 19
2θ = 31.32°, intensity 29
2θ = 35.09°, intensity 21
2θ = 44.75°, intensity 11
2θ = 44.89°, intensity 10
2θ = 57.98°, intensity 13


Record 2
BaSrV4Ni4O16: calculated X-ray powder pattern (Cu Kα, 1.54184 Å), based on a PBE+U-relaxed structure.

Structure:
abc: 9.763 9.763 9.763
angles: 100.85 100.85 128.57
Positions (direct):
1 Ba 0.000 0.000 0.000
2 Ba 0.500 0.500 0.000
3 Sr 0.250 0.750 0.500
4 Sr 0.750 0.250 0.500
5 V 0.046 0.874 0.668
6 V 0.122 0.294 0.668
7 V 0.126 0.794 0.172
8 V 0.206 0.378 0.332
9 V 0.546 0.878 0.172
10 V 0.622 0.954 0.828
11 V 0.626 0.454 0.332
12 V 0.706 0.374 0.828
13 Ni 0.081 0.419 0.000
14 Ni 0.168 0.668 0.836
15 Ni 0.332 0.168 0.500
16 Ni 0.419 0.081 0.000
17 Ni 0.581 0.581 0.662
18 Ni 0.668 0.832 0.500
19 Ni 0.832 0.332 0.164
20 Ni 0.919 0.919 0.338
21 O 0.028 0.374 0.341
22 O 0.033 0.687 0.659
23 O 0.066 0.580 0.167
24 O 0.101 0.934 0.514
25 O 0.113 0.280 0.840
26 O 0.126 0.472 0.659
27 O 0.151 0.169 0.336
28 O 0.185 0.849 0.018
29 O 0.220 0.387 0.160
30 O 0.227 0.060 0.840
31 O 0.313 0.972 0.346
32 O 0.331 0.349 0.664
33 O 0.333 0.669 0.018
34 O 0.413 0.899 0.833
35 O 0.420 0.587 0.486
36 O 0.440 0.273 0.160
37 O 0.528 0.187 0.654
38 O 0.533 0.874 0.346
39 O 0.566 0.399 0.486
40 O 0.601 0.087 0.167
41 O 0.613 0.773 0.833
42 O 0.626 0.967 0.654
43 O 0.651 0.315 0.982
44 O 0.685 0.667 0.336
45 O 0.720 0.560 0.833
46 O 0.727 0.887 0.167
47 O 0.813 0.467 0.341
48 O 0.831 0.167 0.982
49 O 0.833 0.815 0.664
50 O 0.913 0.080 0.514
51 O 0.920 0.434 0.833
52 O 0.940 0.780 0.167

The 10 most intense peaks (2θ from 10° to 90°), by angle:
2θ = 25.44°, intensity 34
2θ = 31.02°, intensity 100
2θ = 31.48°, intensity 59
2θ = 32.18°, intensity 55
2θ = 35.65°, intensity 30
2θ = 40.48°, intensity 25
2θ = 43.66°, intensity 27
2θ = 47.70°, intensity 58
2θ = 62.71°, intensity 46
2θ = 63.46°, intensity 23